Computed powder diffraction line list of MgFe4P4O16 for Cu Kα (λ = 1.5418 Å), from a PBE+U-relaxed structure.

Cell and atoms:
```
data_MgFe4P4O16
_space_group_name_H-M_alt 'P -1'
_space_group_IT_number 2
_cell_length_a 5.3087
_cell_length_b 8.0626
_cell_length_c 8.8036
_cell_angle_alpha 88.23
_cell_angle_beta 86.38
_cell_angle_gamma 74.01
loop_
_space_group_symop_operation_xyz
'x,y,z'
'-x,-y,-z'
loop_
_atom_site_label
_atom_site_type_symbol
_atom_site_fract_x
_atom_site_fract_y
_atom_site_fract_z
Mg1 Mg 0.0000 0.0000 0.0000
Fe1 Fe 0.0468 0.1994 0.4858
Fe2 Fe 0.4384 0.3103 0.9905
P1 P 0.0950 0.7050 0.1714
P2 P 0.3616 0.8140 0.6801
O1 O 0.0044 0.3307 0.6660
O2 O 0.1367 0.2289 0.9367
O3 O 0.1891 0.9671 0.5843
O4 O 0.2331 0.8526 0.1616
O5 O 0.2449 0.6671 0.6341
O6 O 0.2991 0.5439 0.1048
O7 O 0.3156 0.8513 0.8523
O8 O 0.3449 0.2197 0.3646
```

Principal peaks in the range 10 to 80 degrees two-theta, sorted by position:
hkl, Position (°2θ), Rel. int.
1 0 1, 19.64, 30
1 1 1, 20.11, 55
0 0 2, 20.22, 45
1 0 -1, 20.64, 44
0 2 0, 22.95, 100
0 1 2, 23.13, 50
0 1 -2, 23.42, 34
1 -1 2, 30.53, 48
-1 1 2, 31.65, 32
-1 1 4, 48.58, 27